1.
Computed PXRD pattern of Pr3S4 for Cu Kα X-rays, from a cell relaxed with PBE.
Intensities are scaled so that the largest is 100.

Cell and atoms:
Cell lengths 8.6493, 8.6493, 8.6493 Å; angles 90.00, 90.00, 90.00 degrees
Space group I-43d (No. 220)
Inequivalent atoms, fractional coordinates:
Pr (0.0000, 0.2500, 0.3750) x12
S (0.0752, 0.0752, 0.0752) x16

Main lines, in order of rising 2θ (10 to 90 degrees two-theta):
two_theta	I (rel.)	hkl
25.22	100.0	2 1 1
32.74	95.6	3 1 0
38.96	59.6	3 2 1
46.98	40.3	4 2 0
49.42	26.1	3 3 2
54.06	30.6	4 3 1
58.44	8.5	5 2 1
66.66	37.0	6 1 1
70.57	15.0	5 4 1
81.84	26.6	7 2 1



2.
Computed PXRD pattern of Pr10S19 for Cu Kα X-rays, from a cell relaxed with PBE.
Intensities are scaled so that the largest is 100.

Cell and atoms:
Cell lengths 9.0340, 9.0340, 16.3369 Å; angles 90.00, 90.00, 90.00 degrees
Space group P4_2/n (No. 86, origin choice 2)
Inequivalent atoms, fractional coordinates:
Pr (0.0408, 0.3483, 0.1224) x8
Pr (0.0556, 0.3542, 0.6025) x8
Pr (0.2500, 0.7500, 0.1142) x4
S (0.0302, 0.8035, 0.2490) x8
S (0.0492, 0.3482, 0.4259) x8
S (0.0530, 0.3518, 0.9380) x8
S (0.0786, 0.8896, 0.7500) x8
S (0.2500, 0.2500, 0.2500) x2
S (0.2500, 0.7500, 0.4340) x4

Main lines, in order of rising 2θ (10 to 90 degrees two-theta):
two_theta	I (rel.)	hkl
21.76	28.9	0 0 4
24.58	100.0	1 2 2
31.31	48.3	3 1 0
33.22	16.4	3 1 2
38.45	61.1	3 1 4
39.93	41.5	1 2 6
44.87	28.5	2 4 0
50.40	16.0	2 4 4
51.82	27.2	5 0 2
61.60	22.2	5 0 6



3.
Computed PXRD pattern of PrSm3S4 for Cu Kα X-rays, from a cell relaxed with PBE.
Intensities are scaled so that the largest is 100.

Cell and atoms:
Cell lengths 4.0276, 4.0276, 39.7593 Å; angles 90.00, 90.00, 120.00 degrees
Space group R-3m (No. 166, hexagonal axes)
Inequivalent atoms, fractional coordinates:
Pr (0.0000, 0.0000, 0.0000) x3
Sm (0.0000, 0.0000, 0.2492) x6
Sm (0.0000, 0.0000, 0.5000) x3
S (0.0000, 0.0000, 0.1254) x6
S (0.0000, 0.0000, 0.3770) x6

Main lines, in order of rising 2θ (10 to 90 degrees two-theta):
two_theta	I (rel.)	hkl
26.91	19.2	0 0 12
27.09	56.7	1 0 4
31.33	100.0	0 1 8
44.78	36.3	1 0 16
45.02	36.0	1 1 0
53.23	18.8	1 1 12
55.87	18.8	2 0 8
74.11	16.0	1 1 24
74.46	15.9	1 2 8
82.90	12.1	2 1 16



4.
Computed PXRD pattern of Pr2SnS5 for Cu Kα X-rays, from a cell relaxed with PBE.
Intensities are scaled so that the largest is 100.

Cell and atoms:
Cell lengths 7.9116, 11.3551, 3.9982 Å; angles 90.00, 90.00, 90.00 degrees
Space group Pbam (No. 55)
Inequivalent atoms, fractional coordinates:
Pr (0.0664, 0.1696, 0.0000) x4
Sn (0.0000, 0.5000, 0.5000) x2
S (0.0000, 0.0000, 0.5000) x2
S (0.1503, 0.7016, 0.5000) x4
S (0.1865, 0.4254, 0.0000) x4

Main lines, in order of rising 2θ (10 to 90 degrees two-theta):
two_theta	I (rel.)	hkl
22.48	30.4	2 0 0
26.13	100.0	1 3 0
27.28	21.7	0 2 1
32.81	45.3	2 1 1
34.54	22.5	1 3 1
35.63	44.4	2 2 1
38.91	19.7	0 4 1
45.38	31.6	0 0 2
47.45	19.1	1 5 1
53.09	16.9	1 3 2



5.
Computed PXRD pattern of SrPr2S4 for Cu Kα X-rays, from a cell relaxed with PBE.
Intensities are scaled so that the largest is 100.

Cell and atoms:
Cell lengths 8.7439, 8.7439, 8.7457 Å; angles 90.00, 90.00, 90.00 degrees
Space group I-42d (No. 122)
Inequivalent atoms, fractional coordinates:
Sr (0.0000, 0.0000, 0.0000) x4
Pr (0.1273, 0.7500, 0.6250) x8
S (0.0760, 0.6732, 0.9425) x16

Main lines, in order of rising 2θ (10 to 90 degrees two-theta):
two_theta	I (rel.)	hkl
24.94	92.7	1 1 2
32.38	100.0	3 1 0
38.52	64.4	2 1 3
46.44	39.3	4 0 2
48.85	25.9	3 2 3
51.18	8.9	4 2 2
53.43	30.2	3 1 4
65.84	37.5	1 1 6
69.69	15.0	5 1 4
80.76	27.1	2 1 7



6.
Computed PXRD pattern of Pr2ThS5 for Cu Kα X-rays, from a cell relaxed with PBE.
Intensities are scaled so that the largest is 100.

Cell and atoms:
Cell lengths 12.1007, 8.2849, 7.5980 Å; angles 90.00, 90.00, 90.00 degrees
Space group Pnma (No. 62)
Inequivalent atoms, fractional coordinates:
Pr (0.1777, 0.0000, 0.0216) x8
Th (0.0099, 0.2500, 0.5747) x4
S (0.0010, 0.2500, 0.9586) x4
S (0.0983, 0.5425, 0.6635) x8
S (0.1871, 0.2500, 0.3278) x4
S (0.2161, 0.7500, 0.3018) x4

Main lines, in order of rising 2θ (10 to 90 degrees two-theta):
two_theta	I (rel.)	hkl
23.42	45.3	0 0 2
24.99	100.0	3 0 1
25.57	84.6	1 2 1
26.07	69.1	2 2 0
35.32	70.3	2 2 2
36.79	33.0	4 2 0
43.70	27.8	0 4 0
44.98	59.9	6 0 0
51.00	31.1	3 4 1
51.26	26.9	6 0 2



7.
Computed PXRD pattern of PrThUS5 for Cu Kα X-rays, from a cell relaxed with PBE.
Intensities are scaled so that the largest is 100.

Cell and atoms:
Cell lengths 7.4887, 8.0790, 12.0445 Å; angles 90.00, 90.00, 90.00 degrees
Space group P2_12_12_1 (No. 19)
Inequivalent atoms, fractional coordinates:
Pr (0.0234, 0.2491, 0.4298) x4
Th (0.0228, 0.7494, 0.4262) x4
U (0.0708, 0.9988, 0.7440) x4
S (0.0411, 0.9996, 0.2495) x4
S (0.1621, 0.2906, 0.6544) x4
S (0.1642, 0.7083, 0.6493) x4
S (0.1706, 0.4913, 0.9365) x4
S (0.1977, 0.0077, 0.9645) x4

Main lines, in order of rising 2θ (10 to 90 degrees two-theta):
two_theta	I (rel.)	hkl
23.76	47.1	2 0 0
25.17	100.0	1 0 3
26.13	74.2	1 2 1
26.57	61.1	0 2 2
35.94	62.1	2 2 2
37.24	25.7	0 2 4
42.65	18.2	3 0 3
44.88	23.4	0 4 0
45.48	43.3	1 2 5
52.16	38.2	1 4 3